No. 1
This entry pairs a crystal structure of CeBPt4 with its simulated powder X-ray diffraction pattern. Radiation: λ = 1.5418 Å (Cu Kα). Structure: a DFT-relaxed cell (PBE, the Materials Project).
Neutral-atom scattering factors, no anomalous dispersion.

Structure:
```
CeBPt4
1.0
5.481 0.000 0.000
-2.740 4.746 0.000
0.000 0.000 7.730
Ce B Pt
2 2 8
Cartesian
0.000 0.000 0.000
0.000 0.000 3.865
0.000 3.164 0.000
2.740 1.582 0.000
-1.370 2.373 1.545
-1.370 2.373 6.185
0.000 3.164 3.865
2.740 0.000 1.545
2.740 0.000 6.185
1.370 2.373 1.545
1.370 2.373 6.185
2.740 1.582 3.865
```

Most intense lines, 5 to 70 degrees two-theta, by angle:
2theta, d (Å), intensity
18.70, 4.746, 33
29.81, 2.997, 35
34.78, 2.580, 79
37.91, 2.373, 92
39.76, 2.267, 57
40.35, 2.235, 100
44.82, 2.022, 56
52.41, 1.746, 28
63.15, 1.472, 14
63.54, 1.464, 26
68.48, 1.370, 37
69.85, 1.347, 12

No. 2
This entry pairs a crystal structure of Ce2Re3B6 with its simulated powder X-ray diffraction pattern. Radiation: λ = 1.5418 Å (Cu Kα). Structure: a DFT-relaxed cell (PBE, the Materials Project).
Neutral-atom scattering factors, no anomalous dispersion.

Structure:
```
Ce2Re3B6
1.0
3.398 -5.290 0.000
3.398 5.290 0.000
-0.146 0.000 7.521
Ce Re B
4 6 12
Cartesian
1.537 1.851 1.274
1.464 -1.851 5.035
5.185 1.851 2.486
5.112 -1.851 6.246
3.361 4.345 1.880
2.622 0.970 4.418
2.695 -0.970 0.657
3.954 0.970 6.863
4.027 -0.970 3.103
3.288 -4.345 5.641
0.628 0.503 3.492
2.458 3.037 3.627
0.555 -0.503 7.252
1.901 0.482 6.508
4.264 3.037 0.134
1.974 -0.482 2.748
4.675 0.482 4.773
2.385 -3.037 7.387
4.748 -0.482 1.013
6.094 0.503 0.268
4.191 -3.037 3.894
6.021 -0.503 4.029
```

Most intense lines, 5 to 70 degrees two-theta, by angle:
2theta, d (Å), intensity
28.63, 3.118, 83
31.29, 2.858, 19
33.35, 2.686, 100
33.89, 2.645, 19
35.99, 2.495, 54
37.55, 2.395, 18
38.99, 2.310, 36
42.79, 2.113, 27
46.19, 1.965, 16
46.62, 1.948, 27
49.54, 1.840, 19
64.40, 1.447, 17

No. 3
This entry pairs a crystal structure of Ce8Re13B12 with its simulated powder X-ray diffraction pattern. Radiation: λ = 1.5418 Å (Cu Kα). Structure: a DFT-relaxed cell (PBE, the Materials Project).
Neutral-atom scattering factors, no anomalous dispersion.

Structure:
```
Ce8Re13B12
1.0
5.328 3.076 4.861
-5.328 3.076 4.861
0.000 -6.152 4.861
Ce Re B
8 13 12
Cartesian
0.000 0.000 2.111
-2.656 -1.534 7.551
0.000 -3.067 7.033
-2.656 1.534 7.033
2.656 -1.534 7.551
0.000 3.067 7.551
2.656 1.534 7.033
0.000 0.000 12.473
0.000 -2.905 3.676
-2.516 1.453 3.676
-1.348 -0.778 4.933
1.348 -0.778 4.933
0.000 1.557 4.933
-2.516 -1.453 10.907
0.000 0.000 7.292
2.516 1.453 3.676
0.000 -1.557 9.651
-1.348 0.778 9.651
1.348 0.778 9.651
2.516 -1.453 10.907
0.000 2.905 10.907
-0.914 -4.570 4.861
-1.850 -2.948 4.861
-3.478 -0.128 4.861
-4.414 1.494 4.861
0.914 -4.570 4.861
-3.501 3.076 4.861
-3.478 0.128 9.722
-1.628 3.076 4.861
-1.850 2.948 9.722
1.628 3.076 4.861
4.414 1.494 4.861
3.501 3.076 4.861
```

Most intense lines, 5 to 70 degrees two-theta, by angle:
2theta, d (Å), intensity
11.35, 7.798, 27
32.19, 2.781, 35
33.64, 2.664, 100
35.61, 2.521, 39
36.44, 2.465, 64
37.23, 2.415, 31
38.54, 2.336, 94
40.31, 2.238, 41
40.81, 2.211, 22
43.19, 2.095, 29
62.00, 1.497, 24
62.56, 1.485, 23

No. 4
This entry pairs a crystal structure of Ce2B6Rh9 with its simulated powder X-ray diffraction pattern. Radiation: λ = 1.5418 Å (Cu Kα). Structure: a DFT-relaxed cell (PBE, the Materials Project).
Neutral-atom scattering factors, no anomalous dispersion.

Structure:
```
Ce2B6Rh9
1.0
5.643 0.000 0.000
-2.822 4.887 0.000
0.000 0.000 8.600
Ce B Rh
2 6 9
Cartesian
0.000 0.000 0.000
0.000 0.000 3.476
0.000 3.258 0.312
0.000 3.258 3.190
0.000 3.258 6.048
2.822 1.629 0.312
2.822 1.629 3.190
2.822 1.629 6.048
-1.411 2.444 1.749
-1.411 2.444 4.643
-1.411 2.444 7.454
2.822 0.000 1.749
2.822 0.000 4.643
2.822 0.000 7.454
1.411 2.444 1.749
1.411 2.444 4.643
1.411 2.444 7.454
```

Most intense lines, 5 to 70 degrees two-theta, by angle:
2theta, d (Å), intensity
27.63, 3.228, 16
31.20, 2.867, 17
36.33, 2.473, 37
36.78, 2.444, 100
38.15, 2.359, 7
45.09, 2.011, 26
48.98, 1.860, 34
54.03, 1.697, 5
59.54, 1.553, 18
65.08, 1.433, 5
65.95, 1.416, 8
66.25, 1.411, 19

No. 5
This entry pairs a crystal structure of CeB2Rh3 with its simulated powder X-ray diffraction pattern. Radiation: λ = 1.5418 Å (Cu Kα). Structure: a DFT-relaxed cell (PBE, the Materials Project).
Neutral-atom scattering factors, no anomalous dispersion.

Structure:
```
CeB2Rh3
1.0
5.488 0.000 0.000
-2.744 4.753 0.000
0.000 0.000 3.118
Ce B Rh
1 2 3
Cartesian
0.000 0.000 0.000
0.000 3.168 0.000
2.744 1.584 0.000
-1.372 2.376 1.559
2.744 0.000 1.559
1.372 2.376 1.559
```

Most intense lines, 5 to 70 degrees two-theta, by angle:
2theta, d (Å), intensity
18.67, 4.753, 1
28.63, 3.118, 9
32.63, 2.744, 2
34.40, 2.607, 73
37.86, 2.376, 100
43.96, 2.060, 44
48.14, 1.890, 17
59.27, 1.559, 10
59.38, 1.557, 30
66.16, 1.412, 13
68.38, 1.372, 19

No. 6
This entry pairs a crystal structure of CeB2Ru2Rh with its simulated powder X-ray diffraction pattern. Radiation: λ = 1.5418 Å (Cu Kα). Structure: a DFT-relaxed cell (PBE, the Materials Project).
Neutral-atom scattering factors, no anomalous dispersion.

Structure:
```
CeB2Ru2Rh
1.0
2.810 -4.744 0.000
2.810 4.744 0.000
0.000 0.000 3.004
Ce B Ru Rh
1 2 2 1
Cartesian
0.000 0.000 0.000
2.810 1.629 0.000
2.810 -1.629 0.000
1.405 2.372 1.502
1.405 -2.372 1.502
2.810 0.000 1.502
```

Most intense lines, 5 to 70 degrees two-theta, by angle:
2theta, d (Å), intensity
35.17, 2.552, 67
35.36, 2.538, 31
37.19, 2.418, 100
37.93, 2.372, 48
44.13, 2.052, 20
44.61, 2.031, 41
48.32, 1.884, 15
58.91, 1.568, 15
59.57, 1.552, 14
59.96, 1.543, 14
65.74, 1.420, 13
68.02, 1.378, 18

No. 7
This entry pairs a crystal structure of CeB2Ru2 with its simulated powder X-ray diffraction pattern. Radiation: λ = 1.5418 Å (Cu Kα). Structure: a DFT-relaxed cell (PBE, the Materials Project).
Neutral-atom scattering factors, no anomalous dispersion.

Structure:
```
CeB2Ru2
1.0
0.000 4.481 5.005
3.291 0.000 5.005
3.291 4.481 0.000
Ce B Ru
2 4 4
Cartesian
0.823 1.120 1.251
5.759 7.842 8.758
2.468 1.715 3.754
4.114 3.955 6.256
2.468 5.007 3.754
4.114 7.247 6.256
2.468 3.361 2.372
4.114 5.601 4.874
2.468 3.361 5.136
4.114 5.601 7.638
```

Most intense lines, 5 to 70 degrees two-theta, by angle:
2theta, d (Å), intensity
26.70, 3.338, 14
31.68, 2.824, 100
32.56, 2.750, 14
33.79, 2.652, 98
40.25, 2.240, 32
42.90, 2.108, 49
48.61, 1.873, 14
50.84, 1.796, 26
55.88, 1.645, 13
59.12, 1.563, 28
60.28, 1.535, 15
69.06, 1.360, 14

No. 8
This entry pairs a crystal structure of CeB2Ru with its simulated powder X-ray diffraction pattern. Radiation: λ = 1.5418 Å (Cu Kα). Structure: a DFT-relaxed cell (PBE, the Materials Project).
Neutral-atom scattering factors, no anomalous dispersion.

Structure:
```
CeB2Ru
1.0
5.930 0.000 0.000
0.000 5.382 0.000
0.000 0.000 6.484
Ce B Ru
4 8 4
Cartesian
0.000 1.346 1.010
5.930 4.037 5.474
2.965 1.346 2.232
2.965 4.037 4.252
0.729 0.481 3.486
0.729 2.210 3.486
2.236 3.172 0.244
2.236 4.902 0.244
3.694 0.481 6.240
3.694 2.210 6.240
5.201 3.172 2.998
5.201 4.902 2.998
1.131 4.037 2.044
1.835 1.346 5.286
4.096 4.037 1.198
4.800 1.346 4.440
```

Most intense lines, 5 to 70 degrees two-theta, by angle:
2theta, d (Å), intensity
20.29, 4.376, 16
27.51, 3.242, 19
33.28, 2.692, 63
35.70, 2.515, 84
37.30, 2.411, 100
39.30, 2.292, 11
43.72, 2.071, 15
44.65, 2.029, 16
47.88, 1.900, 13
61.06, 1.517, 16
62.14, 1.494, 22
63.81, 1.459, 14

No. 9
This entry pairs a crystal structure of CeSmB12 with its simulated powder X-ray diffraction pattern. Radiation: λ = 1.5418 Å (Cu Kα). Structure: a DFT-relaxed cell (PBE, the Materials Project).
Neutral-atom scattering factors, no anomalous dispersion.

Structure:
```
CeSmB12
1.0
5.822 0.000 0.000
0.000 5.822 0.000
0.000 0.000 4.117
Ce Sm B
1 1 12
Cartesian
0.000 0.000 0.000
2.911 2.911 0.000
0.000 2.911 0.819
0.000 2.911 3.298
0.874 2.032 2.059
0.874 3.790 2.059
2.032 0.874 2.059
2.032 4.948 2.059
2.911 0.000 0.819
2.911 0.000 3.298
3.790 0.874 2.059
3.790 4.948 2.059
4.948 2.032 2.059
4.948 3.790 2.059
```

Most intense lines, 5 to 70 degrees two-theta, by angle:
2theta, d (Å), intensity
21.59, 4.117, 66
30.71, 2.911, 100
37.85, 2.377, 42
43.99, 2.058, 21
49.51, 1.841, 50
54.60, 1.681, 27
63.96, 1.456, 10
68.36, 1.372, 28

No. 10
This entry pairs a crystal structure of CeThB8 with its simulated powder X-ray diffraction pattern. Radiation: λ = 1.5418 Å (Cu Kα). Structure: a DFT-relaxed cell (PBE, the Materials Project).
Neutral-atom scattering factors, no anomalous dispersion.

Structure:
```
CeThB8
1.0
5.085 -5.127 0.000
5.085 5.127 0.000
0.000 0.000 4.104
Ce Th B
2 2 16
Cartesian
5.085 3.226 0.000
5.085 -3.226 0.000
3.190 0.000 0.000
6.980 0.000 0.000
2.542 2.564 0.827
2.542 2.564 3.277
1.842 1.467 2.052
0.905 0.000 2.052
3.641 1.878 2.052
1.842 -1.467 2.052
5.085 0.911 2.052
6.529 1.878 2.052
2.542 -2.564 0.827
2.542 -2.564 3.277
3.641 -1.878 2.052
5.085 -0.911 2.052
8.328 1.467 2.052
6.529 -1.878 2.052
9.265 0.000 2.052
8.328 -1.467 2.052
```

Most intense lines, 5 to 70 degrees two-theta, by angle:
2theta, d (Å), intensity
21.65, 4.104, 100
24.66, 3.611, 73
27.53, 3.240, 49
27.72, 3.219, 72
33.04, 2.711, 98
35.29, 2.543, 70
35.44, 2.533, 91
44.13, 2.052, 26
51.20, 1.784, 28
52.91, 1.730, 25
57.08, 1.614, 31
57.29, 1.608, 32

No. 11
This entry pairs a crystal structure of BCl with its simulated powder X-ray diffraction pattern. Radiation: λ = 1.5418 Å (Cu Kα). Structure: a DFT-relaxed cell (PBE, the Materials Project).
Neutral-atom scattering factors, no anomalous dispersion.

Structure:
```
BCl
1.0
8.691 0.000 0.000
0.000 8.691 0.000
0.000 0.000 5.880
B Cl
8 8
Cartesian
1.328 6.518 0.872
2.173 5.673 2.068
2.173 7.363 2.068
3.017 6.518 0.872
5.673 2.173 5.008
6.518 1.328 3.812
6.518 3.017 3.812
7.363 2.173 5.008
0.077 2.173 0.130
2.173 0.077 3.070
2.173 4.269 3.070
4.269 2.173 0.130
4.422 6.518 5.750
6.518 4.422 2.810
6.518 8.614 2.810
8.614 6.518 5.750
```

Most intense lines, 5 to 70 degrees two-theta, by angle:
2theta, d (Å), intensity
14.41, 6.145, 6
25.49, 3.495, 100
27.51, 3.242, 5
29.06, 3.073, 27
30.40, 2.940, 11
41.57, 2.173, 11
42.56, 2.124, 19
49.39, 1.845, 19
51.12, 1.787, 8
52.35, 1.748, 10
66.48, 1.406, 5
67.92, 1.380, 8

Question: What is the formula in the sixth record?
Answer: CeB2Ru2Rh